The following is a computed powder diffraction line list of Na2FeSO4F3. It was derived from a crystal structure in the Materials Project, relaxed with GGA+U, using Cu Kα (λ = 1.5418 Å).
Neutral-atom scattering factors, no anomalous dispersion.

Cell lengths 5.768, 7.497, 7.064 Å; angles 90.00, 109.73, 90.00 degrees
Space group P2_1/m (No. 11)
Unique sites:
1 Na 0.000 0.000 0.000 [2 per cell]
2 Na 0.045 0.250 0.565 [2 per cell]
3 Fe 0.500 0.000 0.500 [2 per cell]
4 S 0.463 0.750 0.873 [2 per cell]
5 O 0.278 0.250 0.991 [2 per cell]
6 O 0.282 0.750 0.976 [2 per cell]
7 O 0.416 0.587 0.738 [4 per cell]
8 F 0.151 0.509 0.350 [4 per cell]
9 F 0.449 0.250 0.574 [2 per cell]

Peak list (8 most intense, 10 to 90 degrees two-theta, by intensity)
| Position (°2θ) | I_rel | h k l |
| --- | --- | --- |
| 29.49 | 100 | 1 2 -1 |
| 16.33 | 73 | 1 0 0 |
| 27.31 | 39 | 0 2 1 |
| 26.82 | 33 | 0 0 2 |
| 13.32 | 31 | 0 0 1 |
| 32.99 | 29 | 2 0 0 |
| 29.39 | 27 | 0 1 2 |
| 48.58 | 26 | 0 4 0 |

The following is a computed powder diffraction line list of Na2ZrFeSi2O8F. It was derived from a crystal structure in the Materials Project, relaxed with GGA+U, using Cu Kα (λ = 1.5418 Å).
Neutral-atom scattering factors, no anomalous dispersion.

Cell lengths 7.200, 9.963, 10.824 Å; angles 90.00, 107.99, 90.00 degrees
Space group P2_1/c (No. 14)
Unique sites:
1 Na 0.025 0.109 0.306 [4 per cell]
2 Na 0.151 0.620 0.571 [4 per cell]
3 Zr 0.475 0.605 0.205 [4 per cell]
4 Fe 0.365 0.126 0.943 [4 per cell]
5 Si 0.174 0.167 0.621 [4 per cell]
6 Si 0.279 0.670 0.877 [4 per cell]
7 O 0.054 0.678 0.881 [4 per cell]
8 O 0.186 0.246 0.997 [4 per cell]
9 O 0.234 0.010 0.617 [4 per cell]
10 O 0.285 0.739 0.253 [4 per cell]
11 O 0.306 0.233 0.762 [4 per cell]
12 O 0.328 0.516 0.848 [4 per cell]
13 O 0.416 0.730 0.017 [4 per cell]
14 O 0.464 0.021 0.112 [4 per cell]
15 F 0.125 0.007 0.886 [4 per cell]

Peak list (8 most intense, 10 to 90 degrees two-theta, by intensity)
| Position (°2θ) | I_rel | h k l |
| --- | --- | --- |
| 30.65 | 100 | 2 2 -1 |
| 31.67 | 64 | 0 2 3 |
| 12.93 | 63 | 1 0 0 |
| 22.19 | 46 | 1 2 -1 |
| 27.49 | 36 | 0 1 3 |
| 32.07 | 20 | 0 3 2 |
| 26.24 | 19 | 1 1 2 |
| 50.73 | 18 | 4 0 -2 |